Entry 1:
AlCr2Cl2: simulated powder diffraction line list (CuKα), based on the GGA-PBE geometry in Alexandria.
Kinematic intensities with the Lorentz-polarization factor, no thermal factor.

Largest 10 diffraction maxima, in order of rising 2θ, 10 to 90 degrees two-theta:
(hkl)	2θ (°)	Rel. int.
0 0 2	15.4	30
1 0 1	22.1	61
1 0 3	31.3	100
1 1 2	33.4	84
2 0 0	42.1	86
1 1 4	43.3	84
1 0 5	44.7	40
2 1 3	53.4	39
2 2 0	61.1	25
2 1 5	63.1	26

Cell lengths 4.293, 4.293, 11.509 Å; angles 90.00, 90.00, 90.00 degrees
Space group I4/mmm (No. 139)
Unique sites:
Al1 0.000 0.000 0.000 (multiplicity 2)
Cr1 0.000 0.000 0.377 (multiplicity 4)
Cl1 0.000 0.500 0.250 (multiplicity 4)



Entry 2:
NaCd2Ag3: simulated powder diffraction line list (CuKα), based on the GGA-PBE geometry in Alexandria.
Kinematic intensities with the Lorentz-polarization factor, no thermal factor.

Largest 10 diffraction maxima, in order of rising 2θ, 10 to 90 degrees two-theta:
(hkl)	2θ (°)	Rel. int.
0 2 0	17.8	100
0 2 2	35.9	17
2 0 2	36.5	36
2 3 1	36.6	71
4 0 0	38.2	41
2 2 2	40.9	71
2 4 0	41.1	34
4 2 0	42.5	21
2 3 3	58.8	17
4 6 2	77.8	19

Cell lengths 9.414, 9.944, 5.783 Å; angles 90.00, 90.00, 90.00 degrees
Space group Imma (No. 74)
Unique sites:
Na1 0.000 0.250 0.249 (multiplicity 4)
Cd1 0.000 0.083 0.749 (multiplicity 8)
Ag1 0.250 0.000 0.000 (multiplicity 8)
Ag2 0.250 0.250 0.750 (multiplicity 4)



Entry 3:
CsZn2SbCl8: simulated powder diffraction line list (CuKα), based on the GGA-PBE geometry in Alexandria.
Kinematic intensities with the Lorentz-polarization factor, no thermal factor.

Largest 10 diffraction maxima, in order of rising 2θ, 10 to 90 degrees two-theta:
(hkl)	2θ (°)	Rel. int.
1 0 4	19.4	100
0 0 9	25.4	11
1 1 0	27.4	36
0 1 8	27.6	27
2 -1 3	28.7	19
1 1 6	32.4	27
0 2 4	33.8	26
2 1 4	44.0	24
2 -1 12	44.3	32
3 0 0	48.5	25

Cell lengths 6.5055, 6.5055, 31.5555 Å; angles 90.00, 90.00, 120.00 degrees
Space group R-3 (No. 148, hexagonal axes)
Unique sites:
Cs1 0.0000 0.0000 0.0000 (multiplicity 3)
Zn1 0.0000 0.0000 0.2419 (multiplicity 6)
Sb1 0.0000 0.0000 0.5000 (multiplicity 3)
Cl1 0.0000 0.0000 0.3121 (multiplicity 6)
Cl2 0.0020 0.3379 0.7830 (multiplicity 18)



Entry 4:
Ag15Hg2Pd2: simulated powder diffraction line list (CuKα), based on the GGA-PBE geometry in Alexandria.
Kinematic intensities with the Lorentz-polarization factor, no thermal factor.

Largest 10 diffraction maxima, in order of rising 2θ, 10 to 90 degrees two-theta:
(hkl)	2θ (°)	Rel. int.
1 0 1	12.3	36
3 0 0	32.6	79
0 0 6	37.1	23
3 0 3	37.6	92
2 2 0	37.8	81
1 1 6	41.8	75
2 2 3	42.3	100
1 4 6	64.5	39
6 0 0	68.3	41
2 2 9	70.5	20

Cell lengths 9.5136, 9.5136, 14.5412 Å; angles 90.00, 90.00, 120.00 degrees
Space group R-3m (No. 166, hexagonal axes)
Unique sites:
Ag1 0.0000 0.3436 0.0000 (multiplicity 18)
Ag2 0.0000 0.5000 0.5000 (multiplicity 9)
Ag3 0.0037 0.5019 0.1672 (multiplicity 18)
Hg1 0.0000 0.0000 0.0947 (multiplicity 6)
Pd1 0.0000 0.0000 0.2842 (multiplicity 6)



Entry 5:
RbPrHg2O4: simulated powder diffraction line list (CuKα), based on the GGA-PBE geometry in Alexandria.
Kinematic intensities with the Lorentz-polarization factor, no thermal factor.

Largest 10 diffraction maxima, in order of rising 2θ, 10 to 90 degrees two-theta:
(hkl)	2θ (°)	Rel. int.
0 1 1	17.3	22
1 1 0	19.3	12
0 2 0	26.3	40
2 0 0	28.6	29
1 1 2	30.0	100
2 2 0	39.2	35
1 2 3	46.3	14
1 3 2	48.8	27
3 1 2	51.5	23
2 4 0	62.3	14

Cell lengths 6.245, 6.783, 7.814 Å; angles 90.00, 90.00, 90.00 degrees
Space group I222 (No. 23)
Unique sites:
Rb1 0.000 0.000 0.000 (multiplicity 2)
Pr1 0.000 0.000 0.500 (multiplicity 2)
Hg1 0.000 0.500 0.202 (multiplicity 4)
O1 0.226 0.166 0.315 (multiplicity 8)



Entry 6:
MgIn2O4: simulated powder diffraction line list (CuKα), based on the GGA-PBE geometry in Alexandria.
Kinematic intensities with the Lorentz-polarization factor, no thermal factor.

Largest 10 diffraction maxima, in order of rising 2θ, 10 to 90 degrees two-theta:
(hkl)	2θ (°)	Rel. int.
1 1 1	17.0	98
3 1 1	32.8	100
2 2 2	34.3	46
4 0 0	39.8	60
3 3 1	43.6	22
5 1 1	52.5	36
4 4 0	57.6	52
5 3 1	60.5	19
6 2 2	68.7	21
5 5 3	81.7	20

Cell lengths 9.057, 9.057, 9.057 Å; angles 90.00, 90.00, 90.00 degrees
Space group Fd-3m (No. 227, origin choice 2)
Unique sites:
Mg1 0.125 0.125 0.125 (multiplicity 8)
In1 0.000 0.000 0.500 (multiplicity 16)
O1 0.006 0.006 0.744 (multiplicity 32)



Please write out number 3 again, unchanged.
CsZn2SbCl8: simulated powder diffraction line list (CuKα), based on the GGA-PBE geometry in Alexandria.
Kinematic intensities with the Lorentz-polarization factor, no thermal factor.

Largest 10 diffraction maxima, in order of rising 2θ, 10 to 90 degrees two-theta:
(hkl)	2θ (°)	Rel. int.
1 0 4	19.4	100
0 0 9	25.4	11
1 1 0	27.4	36
0 1 8	27.6	27
2 -1 3	28.7	19
1 1 6	32.4	27
0 2 4	33.8	26
2 1 4	44.0	24
2 -1 12	44.3	32
3 0 0	48.5	25

Cell lengths 6.5055, 6.5055, 31.5555 Å; angles 90.00, 90.00, 120.00 degrees
Space group R-3 (No. 148, hexagonal axes)
Unique sites:
Cs1 0.0000 0.0000 0.0000 (multiplicity 3)
Zn1 0.0000 0.0000 0.2419 (multiplicity 6)
Sb1 0.0000 0.0000 0.5000 (multiplicity 3)
Cl1 0.0000 0.0000 0.3121 (multiplicity 6)
Cl2 0.0020 0.3379 0.7830 (multiplicity 18)